# NpMnZn2H8
Computed powder diffractogram, Cu Kα. Input: a cell relaxed with GGA-PBE.
Peak positions follow from Bragg's law for the DFT cell and can differ from measured ones.

Cell and atoms:
Cell lengths 4.3279, 4.4874, 5.2118 Å; angles 75.60, 88.45, 89.72 degrees
Atoms (fractional coordinates):
Np 0.0000 0.0000 0.0000
Mn 0.0000 0.5000 0.5000
Zn 0.4996 0.3973 0.2865
Zn 0.5004 0.6027 0.7135
H 0.0543 0.5529 0.8003
H 0.2020 0.1839 0.5621
H 0.2540 0.7636 0.3753
H 0.4953 0.1872 0.0543
H 0.5047 0.8128 0.9457
H 0.7460 0.2364 0.6247
H 0.7980 0.8161 0.4379
H 0.9457 0.4471 0.1997

Main lines, sorted by position (10 to 90 degrees two-theta):
h k l  2θ/deg  Rel. int.
0 0 1  17.57  38
1 0 0  20.52  34
0 1 1  23.46  55
1 1 0  29.12  100
0 1 -1  30.29  87
1 1 1  31.07  62
-1 1 1  31.66  59
1 0 2  40.92  66
2 0 0  41.76  44
1 0 -2  41.93  39